Theoretical powder diffractogram
Compound: Er2Ni12As7
Radiation: Cu Kα (weighted mean of Kα1 and Kα2)
Structure: a cell relaxed with GGA-PBE

```
data_Er2Ni12As7
_space_group_name_H-M_alt 'P -6'
_space_group_IT_number 174
_space_group_name_Hall 'P -6'
_cell_length_a 9.3393
_cell_length_b 9.3393
_cell_length_c 3.8169
_cell_angle_alpha 90.00
_cell_angle_beta 90.00
_cell_angle_gamma 120.00
loop_
_atom_site_label
_atom_site_fract_x
_atom_site_fract_y
_atom_site_fract_z
_atom_site_occupancy
Er1 0.0000 0.0000 0.0000 1
Er2 0.3333 0.6667 0.5000 1
Ni1 0.0459 0.7600 0.5000 1
Ni2 0.1047 0.3893 0.0000 1
Ni3 0.3863 0.2061 0.0000 1
Ni4 0.5505 0.1215 0.5000 1
As1 0.0719 0.6196 0.0000 1
As2 0.2589 0.0369 0.5000 1
As3 0.6667 0.3333 0.0000 1
```

Peak list (10 most intense, 2θ = 15–90°, sorted by position)
2θ 32.25, I 15.3
2θ 33.23, I 12.6
2θ 37.70, I 100.0
2θ 44.82, I 9.9
2θ 46.98, I 19.6
2θ 47.65, I 24.8
2θ 51.80, I 24.4
2θ 55.03, I 17.0
2θ 73.03, I 20.9
2θ 82.08, I 17.7


Theoretical powder diffractogram
Compound: CaHoPd2
Radiation: Cu Kα (weighted mean of Kα1 and Kα2)
Structure: a cell relaxed with GGA-PBE

```
data_CaHoPd2
_space_group_name_H-M_alt 'F m -3 m'
_space_group_IT_number 225
_space_group_name_Hall '-F 4 2 3'
_cell_length_a 7.020
_cell_length_b 7.020
_cell_length_c 7.020
_cell_angle_alpha 90.00
_cell_angle_beta 90.00
_cell_angle_gamma 90.00
loop_
_atom_site_label
_atom_site_fract_x
_atom_site_fract_y
_atom_site_fract_z
_atom_site_occupancy
Ca1 0.000 0.000 0.000 1
Ho1 0.000 0.000 0.500 1
Pd1 0.250 0.250 0.250 1
```

Peak list (10 most intense, 2θ = 15–90°, sorted by position)
2θ 21.93, I 18.9
2θ 36.19, I 100.0
2θ 42.72, I 10.5
2θ 52.11, I 17.3
2θ 57.20, I 4.6
2θ 65.09, I 34.9
2θ 69.58, I 3.5
2θ 76.81, I 10.7
2θ 81.03, I 3.5
2θ 87.98, I 15.6


Theoretical powder diffractogram
Compound: Lu2B6Rh9
Radiation: Cu Kα (weighted mean of Kα1 and Kα2)
Structure: a cell relaxed with GGA-PBE

```
data_Lu2B6Rh9
_space_group_name_H-M_alt 'P 6/m m m'
_space_group_IT_number 191
_space_group_name_Hall '-P 6 2'
_cell_length_a 5.5848
_cell_length_b 5.5848
_cell_length_c 8.5879
_cell_angle_alpha 90.00
_cell_angle_beta 90.00
_cell_angle_gamma 120.00
loop_
_atom_site_label
_atom_site_fract_x
_atom_site_fract_y
_atom_site_fract_z
_atom_site_occupancy
Lu1 0.0000 0.0000 0.2030 1
B1 0.3333 0.6667 0.1676 1
B2 0.3333 0.6667 0.5000 1
Rh1 0.0000 0.5000 0.0000 1
Rh2 0.0000 0.5000 0.3350 1
```

Peak list (10 most intense, 2θ = 15–90°, sorted by position)
2θ 27.78, I 22.5
2θ 31.25, I 13.3
2θ 36.47, I 40.9
2θ 37.18, I 100.0
2θ 45.37, I 27.6
2θ 49.33, I 26.6
2θ 60.05, I 19.3
2θ 67.03, I 19.1
2θ 77.49, I 13.9
2θ 79.22, I 10.9


Theoretical powder diffractogram
Compound: CsMoN2
Radiation: Cu Kα (weighted mean of Kα1 and Kα2)
Structure: a cell relaxed with GGA-PBE

```
data_CsMoN2
_space_group_name_H-M_alt 'P b c m'
_space_group_IT_number 57
_space_group_name_Hall '-P 2c 2b'
_cell_length_a 8.770
_cell_length_b 6.200
_cell_length_c 12.396
_cell_angle_alpha 90.00
_cell_angle_beta 90.00
_cell_angle_gamma 90.00
loop_
_atom_site_label
_atom_site_fract_x
_atom_site_fract_y
_atom_site_fract_z
_atom_site_occupancy
Cs1 0.125 0.214 0.250 1
Cs2 0.374 0.250 0.000 1
Mo1 0.126 0.750 0.000 1
Mo2 0.376 0.728 0.250 1
N1 0.000 0.000 0.000 1
N2 0.251 0.747 0.125 1
N3 0.484 0.038 0.750 1
```

Peak list (10 most intense, 2θ = 15–90°, sorted by position)
2θ 28.80, I 100.0
2θ 33.91, I 3.0
2θ 41.18, I 14.3
2θ 49.30, I 1.0
2θ 51.03, I 37.5
2θ 59.65, I 13.6
2θ 67.57, I 15.4
2θ 75.06, I 3.1
2θ 82.29, I 17.3
2θ 89.40, I 2.1


Theoretical powder diffractogram
Compound: Ti3Ni
Radiation: Cu Kα (weighted mean of Kα1 and Kα2)
Structure: a cell relaxed with GGA-PBE

```
data_Ti3Ni
_space_group_name_H-M_alt 'P m -3 m'
_space_group_IT_number 221
_space_group_name_Hall '-P 4 2 3'
_cell_length_a 3.935
_cell_length_b 3.935
_cell_length_c 3.935
_cell_angle_alpha 90.00
_cell_angle_beta 90.00
_cell_angle_gamma 90.00
loop_
_atom_site_label
_atom_site_fract_x
_atom_site_fract_y
_atom_site_fract_z
_atom_site_occupancy
Ti1 0.000 0.000 0.500 1
Ni1 0.500 0.500 0.500 1
```

Peak list (10 most intense, 2θ = 15–90°, sorted by position)
2θ 22.60, I 2.2
2θ 32.17, I 2.0
2θ 39.67, I 100.0
2θ 46.13, I 47.0
2θ 51.96, I 1.1
2θ 57.35, I 0.8
2θ 67.30, I 27.2
2θ 71.99, I 0.5
2θ 81.04, I 30.8
2θ 85.47, I 8.9